(1)
Theoretical powder XRD pattern
Compound: RuClF4
Radiation: copper Kα
Structure: a crystal structure in Alexandria, relaxed with PBE
Lines closer than 0.1° are merged.

Structural model:
Cell: 5.702 4.706 9.330 Å, 90.00 90.89 90.00°
Space group P2_1 (No. 4)
Asymmetric unit:
1 Ru 0.250 0.000 0.000 (multiplicity 2)
2 Cl 0.009 0.671 0.483 (multiplicity 2)
3 F 0.067 0.658 0.060 (multiplicity 2)
4 F 0.217 0.142 0.184 (multiplicity 2)
5 F 0.285 0.858 0.815 (multiplicity 2)
6 F 0.433 0.343 0.939 (multiplicity 2)

Main lines, in order of falling intensity (2θ from 5° to 70°):
d [Å]	I (rel.)	hkl
9.329	100	0 0 1
4.664	30	0 0 2
3.630	23	1 1 0
3.394	16	1 1 -1
3.371	14	1 1 1
2.714	9	2 0 1
2.851	7	2 0 0
2.878	6	1 1 -2
2.373	5	1 1 -3
2.282	5	0 2 1

=====

(2)
Theoretical powder XRD pattern
Compound: Cu2SbSeS2
Radiation: copper Kα
Structure: a crystal structure in Alexandria, relaxed with PBE
Lines closer than 0.1° are merged.

Structural model:
Cell: 11.444 7.455 6.242 Å, 90.00 90.00 90.00°
Space group Cmc2_1 (No. 36)
Asymmetric unit:
1 Cu 0.187 0.149 0.000 (multiplicity 8)
2 Sb 0.000 0.306 0.453 (multiplicity 4)
3 Se 0.000 0.267 0.872 (multiplicity 4)
4 S 0.187 0.138 0.365 (multiplicity 8)

Main lines, in order of falling intensity (2θ from 5° to 70°):
d [Å]	I (rel.)	hkl
3.122	100	0 0 2
3.727	58	0 2 0
1.774	54	3 1 3
3.396	53	3 1 0
2.983	51	3 1 1
2.082	43	3 3 0
3.200	39	0 2 1
1.732	35	3 3 2
2.861	23	4 0 0
2.393	23	0 2 2

=====

(3)
Theoretical powder XRD pattern
Compound: Ac2DyPaP4
Radiation: copper Kα
Structure: a crystal structure in Alexandria, relaxed with PBE
Lines closer than 0.1° are merged.

Structural model:
Cell: 7.202 4.187 7.359 Å, 90.00 109.20 90.00°
Space group P2/m (No. 10)
Asymmetric unit:
1 Ac 0.000 0.000 0.000 (multiplicity 1)
2 Ac 0.500 0.500 0.000 (multiplicity 1)
3 Dy 0.000 0.500 0.500 (multiplicity 1)
4 Pa 0.500 0.000 0.500 (multiplicity 1)
5 P 0.247 0.000 0.720 (multiplicity 2)
6 P 0.265 0.500 0.282 (multiplicity 2)

Main lines, in order of falling intensity (2θ from 5° to 70°):
d [Å]	I (rel.)	hkl
2.970	100	1 1 1
3.421	52	1 1 -1
3.475	28	0 0 2
3.401	26	2 0 0
2.116	25	1 1 -3
2.083	25	3 1 -1
1.784	18	3 1 1
1.806	15	2 0 -4
1.711	13	2 2 -2
2.094	13	0 2 0

=====

(4)
Theoretical powder XRD pattern
Compound: KHoIn2Cl6
Radiation: copper Kα
Structure: a crystal structure in Alexandria, relaxed with PBE
Lines closer than 0.1° are merged.

Structural model:
Cell: 7.769 7.775 7.935 Å, 90.03 119.31 119.96°
Space group P1 (No. 1)
Asymmetric unit:
1 K 0.000 0.000 0.000 (multiplicity 1)
2 Ho 0.015 0.507 0.522 (multiplicity 1)
3 In 0.422 0.211 0.634 (multiplicity 1)
4 In 0.429 0.714 0.143 (multiplicity 1)
5 Cl 0.126 0.750 0.311 (multiplicity 1)
6 Cl 0.158 0.844 0.780 (multiplicity 1)
7 Cl 0.467 0.623 0.780 (multiplicity 1)
8 Cl 0.561 0.375 0.312 (multiplicity 1)
9 Cl 0.936 0.185 0.312 (multiplicity 1)
10 Cl 0.937 0.314 0.780 (multiplicity 1)

Main lines, in order of falling intensity (2θ from 5° to 70°):
d [Å]	I (rel.)	hkl
3.887	100	1 -2 0
3.967	100	1 0 -2
2.503	82	-1 2 2
2.776	72	0 2 -2
6.368	59	0 1 0
2.259	58	2 1 -3
2.244	54	3 0 -2
5.552	44	1 0 0
3.342	42	2 -1 0
1.885	29	1 -1 3

=====

(5)
Theoretical powder XRD pattern
Compound: Li2AsP
Radiation: copper Kα
Structure: a crystal structure in Alexandria, relaxed with PBE
Lines closer than 0.1° are merged.

Structural model:
Cell: 6.438 5.227 9.436 Å, 90.00 107.06 90.00°
Space group P2_1/c (No. 14)
Asymmetric unit:
1 Li 0.025 0.108 0.151 (multiplicity 4)
2 Li 0.473 0.157 0.640 (multiplicity 4)
3 As 0.345 0.656 0.567 (multiplicity 4)
4 P 0.062 0.614 0.100 (multiplicity 4)

Main lines, in order of falling intensity (2θ from 5° to 70°):
d [Å]	I (rel.)	hkl
3.414	100	0 1 2
3.984	93	1 1 0
4.513	76	0 0 2
3.216	50	1 0 2
2.394	48	1 2 -1
2.070	36	0 1 4
2.739	35	2 1 -1
3.315	34	1 1 -2
1.872	33	2 2 1
1.993	32	1 2 -3

=====

(6)
Theoretical powder XRD pattern
Compound: Sc2Be17
Radiation: copper Kα
Structure: a crystal structure in Alexandria, relaxed with PBE
Lines closer than 0.1° are merged.

Structural model:
Cell: 7.5160 7.5160 7.3219 Å, 90.00 90.00 120.00°
Space group P6_3/mmc (No. 194)
Asymmetric unit:
1 Sc 0.0000 0.0000 0.2500 (multiplicity 2)
2 Sc 0.3333 0.6667 0.2500 (multiplicity 2)
3 Be 0.0000 0.5000 0.0000 (multiplicity 6)
4 Be 0.0464 0.3780 0.7500 (multiplicity 12)
5 Be 0.1663 0.3327 0.0118 (multiplicity 12)
6 Be 0.3333 0.6667 0.6046 (multiplicity 4)

Main lines, in order of falling intensity (2θ from 5° to 70°):
d [Å]	I (rel.)	hkl
2.622	100	1 1 2
1.867	75	3 0 2
3.758	72	1 1 0
2.170	44	3 0 0
1.879	44	2 2 0
4.865	43	1 0 1
2.974	28	2 0 1
2.332	26	2 1 1
3.661	24	0 0 2
1.953	20	2 0 3